# 1
This entry pairs a crystal structure of K2CuPbF8 with its simulated powder X-ray diffraction pattern. Radiation: Cu Ka. Structure: the PBE geometry in Alexandria.

The 12 most intense peaks (2θ from 10° to 80°), low angle first:
| Position (°2θ) | I/Imax | index |
| --- | --- | --- |
| 11.78 | 661 | 0 0 1 |
| 15.21 | 872 | 0 1 0 |
| 18.20 | 624 | 1 0 0 |
| 22.61 | 1000 | 1 1 0 |
| 23.69 | 278 | 0 0 2 |
| 24.94 | 627 | 1 -1 0 |
| 26.51 | 642 | 0 1 2 |
| 29.15 | 375 | 1 0 2 |
| 29.93 | 357 | 0 1 -2 |
| 30.64 | 525 | 1 1 2 |
| 38.09 | 260 | 1 2 -1 |
| 48.47 | 310 | 0 0 4 |

Structure:
abc: 4.912 5.909 7.596
angles: 82.15 85.84 83.87
Space group P-1 (No. 2)
Inequivalent atoms, fractional coordinates:
K 0.090 0.018 0.239 x2
Cu 0.500 0.500 0.000 x1
Pb 0.500 0.500 0.500 x1
F 0.131 0.702 0.533 x2
F 0.239 0.748 0.996 x2
F 0.374 0.211 0.662 x2
F 0.385 0.394 0.250 x2

---

# 2
This entry pairs a crystal structure of K3Cu2PdF9 with its simulated powder X-ray diffraction pattern. Radiation: Cu Ka. Structure: the PBE geometry in Alexandria.

The 12 most intense peaks (2θ from 10° to 80°), low angle first:
| Position (°2θ) | I/Imax | index |
| --- | --- | --- |
| 12.30 | 12 | 0 0 1 |
| 17.45 | 26 | 1 0 0 |
| 21.40 | 445 | 1 0 1 |
| 30.44 | 1000 | 1 1 0 |
| 37.52 | 17 | 2 0 1 |
| 43.59 | 540 | 2 0 2 |
| 49.06 | 188 | 2 1 1 |
| 54.10 | 372 | 3 0 0 |
| 63.35 | 301 | 2 2 0 |
| 67.70 | 81 | 3 0 3 |
| 71.90 | 156 | 3 1 2 |
| 79.96 | 23 | 0 0 6 |

Structure:
abc: 5.8696 5.8696 7.1987
angles: 90.00 90.00 120.00
Space group P-3m1 (No. 164)
Inequivalent atoms, fractional coordinates:
K 0.0000 0.0000 0.0000 x1
K 0.3333 0.6667 0.6734 x2
Cu 0.3333 0.6667 0.1604 x2
Pd 0.0000 0.0000 0.5000 x1
F 0.0000 0.5000 0.0000 x3
F 0.1710 0.3419 0.3275 x6

---

# 3
This entry pairs a crystal structure of KCu2PdF8 with its simulated powder X-ray diffraction pattern. Radiation: Cu Ka. Structure: the PBE geometry in Alexandria.

The 12 most intense peaks (2θ from 10° to 80°), low angle first:
| Position (°2θ) | I/Imax | index |
| --- | --- | --- |
| 15.21 | 113 | 0 0 2 |
| 18.12 | 137 | 1 0 1 |
| 27.96 | 1000 | 1 1 2 |
| 30.71 | 144 | 0 0 4 |
| 33.21 | 138 | 2 0 0 |
| 38.91 | 83 | 1 1 4 |
| 45.86 | 292 | 2 0 4 |
| 47.68 | 150 | 2 2 0 |
| 52.93 | 181 | 1 1 6 |
| 56.19 | 302 | 1 3 2 |
| 57.79 | 128 | 2 2 4 |
| 73.98 | 188 | 2 0 8 |

Structure:
abc: 5.395 5.395 11.647
angles: 90.00 90.00 90.00
Space group I-4 (No. 82)
Inequivalent atoms, fractional coordinates:
K 0.000 0.000 0.000 x2
Cu 0.000 0.000 0.500 x2
Cu 0.000 0.500 0.250 x2
Pd 0.000 0.500 0.750 x2
F 0.121 0.267 0.590 x8
F 0.179 0.772 0.190 x8

---

# 4
This entry pairs a crystal structure of KPmCuF6 with its simulated powder X-ray diffraction pattern. Radiation: Cu Ka. Structure: the PBE geometry in Alexandria.

The 12 most intense peaks (2θ from 10° to 80°), low angle first:
| Position (°2θ) | I/Imax | index |
| --- | --- | --- |
| 14.60 | 1000 | 1 0 1 |
| 17.47 | 165 | 0 0 2 |
| 27.79 | 702 | 1 2 1 |
| 28.90 | 202 | 1 0 3 |
| 29.45 | 820 | 2 0 2 |
| 36.73 | 130 | 3 0 1 |
| 37.59 | 313 | 1 2 3 |
| 44.07 | 186 | 3 2 1 |
| 48.11 | 233 | 4 0 0 |
| 49.51 | 413 | 2 2 4 |
| 51.23 | 124 | 3 2 3 |
| 57.42 | 249 | 2 4 2 |

Structure:
abc: 7.564 7.567 10.153
angles: 90.00 90.00 90.00
Space group Imma (No. 74)
Inequivalent atoms, fractional coordinates:
K 0.000 0.250 0.082 x4
Pm 0.000 0.000 0.500 x4
Cu 0.250 0.250 0.750 x4
F 0.000 0.250 0.368 x4
F 0.000 0.250 0.635 x4
F 0.226 0.062 0.883 x16